# 1
Computed PXRD pattern
Compound: Li3Sn3Pb
Radiation: λ = 1.5418 Å (Cu Kα)
Structure: a structure optimized by DFT (GGA-PBE)
No peak broadening, texture or thermal motion is included.

Main lines, by angle (2θ = 10–90°):
Position (°2θ)	I_rel
24.24	42
27.15	62
29.80	100
46.25	62
49.65	20
55.99	18
70.19	18
80.64	19

Structural model:
```
Li3Sn3Pb
1.0
7.3443 0.0000 0.0000
0.0000 7.3443 0.0000
0.0000 0.0000 7.3443
Li Sn Pb
6 6 2
Direct
0.0000 0.2500 0.5000
0.0000 0.7500 0.5000
0.2500 0.5000 0.0000
0.5000 0.0000 0.2500
0.5000 0.0000 0.7500
0.7500 0.5000 0.0000
0.0000 0.5000 0.2500
0.0000 0.5000 0.7500
0.2500 0.0000 0.5000
0.5000 0.2500 0.0000
0.5000 0.7500 0.0000
0.7500 0.0000 0.5000
0.0000 0.0000 0.0000
0.5000 0.5000 0.5000
```


# 2
Computed PXRD pattern
Compound: SrLi3Pb4
Radiation: λ = 1.5418 Å (Cu Kα)
Structure: a structure optimized by DFT (GGA-PBE)
No peak broadening, texture or thermal motion is included.

Main lines, by angle (2θ = 10–90°):
Position (°2θ)	I_rel
23.47	35
23.99	84
33.81	100
34.18	58
41.88	32
49.12	21
55.38	18
60.96	38

Structural model:
```
SrLi3Pb4
1.0
10.4905 0.0000 0.0000
0.0000 7.5824 0.0000
0.0000 0.0000 5.2469
Sr Li Pb
2 6 8
Direct
0.0000 0.0000 0.0000
0.5000 0.0000 0.0000
0.0000 0.5000 0.0000
0.2500 0.0000 0.4993
0.2500 0.5000 0.4971
0.5000 0.5000 0.0000
0.7500 0.0000 0.5007
0.7500 0.5000 0.5029
0.0000 0.2854 0.5000
0.0000 0.7146 0.5000
0.2500 0.2855 0.9978
0.2500 0.7145 0.9978
0.5000 0.2854 0.5000
0.5000 0.7146 0.5000
0.7500 0.2855 0.0022
0.7500 0.7145 0.0022
```


# 3
Computed PXRD pattern
Compound: Sr3LiPb6
Radiation: λ = 1.5418 Å (Cu Kα)
Structure: a structure optimized by DFT (GGA-PBE)
No peak broadening, texture or thermal motion is included.

Main lines, by angle (2θ = 10–90°):
Position (°2θ)	I_rel
23.52	35
28.13	54
29.17	79
31.33	24
31.48	100
40.07	26
41.85	34
54.63	38

Structural model:
```
Sr3LiPb6
1.0
6.5521 3.7828 4.4056
-6.5521 3.7828 4.4056
0.0000 -7.5657 4.4056
Sr Li Pb
6 2 12
Direct
0.1808 0.7500 0.3192
0.2500 0.6808 0.8192
0.3192 0.1808 0.7500
0.6808 0.8192 0.2500
0.7500 0.3192 0.1808
0.8192 0.2500 0.6808
0.0000 0.0000 0.0000
0.5000 0.5000 0.5000
0.0131 0.0870 0.3505
0.0870 0.3505 0.0131
0.1495 0.4130 0.4869
0.3505 0.0131 0.0870
0.4130 0.4869 0.1495
0.4869 0.1495 0.4130
0.5131 0.8505 0.5870
0.5870 0.5131 0.8505
0.6495 0.9869 0.9130
0.8505 0.5870 0.5131
0.9130 0.6495 0.9869
0.9869 0.9130 0.6495
```


# 4
Computed PXRD pattern
Compound: Sr3Li2Pb4
Radiation: λ = 1.5418 Å (Cu Kα)
Structure: a structure optimized by DFT (GGA-PBE)
No peak broadening, texture or thermal motion is included.

Main lines, by angle (2θ = 10–90°):
Position (°2θ)	I_rel
19.69	23
22.44	11
28.70	100
28.95	21
29.26	19
36.14	24
37.14	26
60.51	13

Structural model:
```
Sr3Li2Pb4
1.0
6.0709 -2.4853 0.0000
6.0709 2.4853 0.0000
-2.2841 0.0000 9.2632
Sr Li Pb
3 2 4
Direct
0.0000 0.0000 0.0000
0.3773 0.3773 0.3056
0.6227 0.6227 0.6944
0.3072 0.3072 0.6286
0.6928 0.6928 0.3714
0.0886 0.0886 0.4034
0.2925 0.2925 0.9232
0.7075 0.7075 0.0768
0.9114 0.9114 0.5966
```


# 5
Computed PXRD pattern
Compound: Sr3Li5Pb6
Radiation: λ = 1.5418 Å (Cu Kα)
Structure: a structure optimized by DFT (GGA-PBE)
No peak broadening, texture or thermal motion is included.

Main lines, by angle (2θ = 10–90°):
Position (°2θ)	I_rel
20.73	51
24.82	37
27.07	92
30.80	100
31.65	36
33.44	47
36.37	51
37.01	38

Structural model:
```
Sr3Li5Pb6
1.0
4.9406 0.0000 0.0000
0.0000 14.5752 0.0000
0.0000 0.0000 10.6414
Sr Li Pb
6 10 12
Direct
0.2500 0.0469 0.2452
0.2500 0.4531 0.2452
0.2500 0.7500 0.2537
0.7500 0.2500 0.7463
0.7500 0.5469 0.7548
0.7500 0.9531 0.7548
0.2500 0.0962 0.6184
0.2500 0.4038 0.6184
0.2500 0.6104 0.9790
0.2500 0.7500 0.7289
0.2500 0.8896 0.9790
0.7500 0.1104 0.0210
0.7500 0.2500 0.2711
0.7500 0.3896 0.0210
0.7500 0.5962 0.3816
0.7500 0.9038 0.3816
0.2500 0.0895 0.8842
0.2500 0.2500 0.0770
0.2500 0.2500 0.4506
0.2500 0.4105 0.8842
0.2500 0.5924 0.5257
0.2500 0.9076 0.5257
0.7500 0.0924 0.4743
0.7500 0.4076 0.4743
0.7500 0.5895 0.1158
0.7500 0.7500 0.5494
0.7500 0.7500 0.9230
0.7500 0.9105 0.1158
```


# 6
Computed PXRD pattern
Compound: Sr2Li6Pb9
Radiation: λ = 1.5418 Å (Cu Kα)
Structure: a structure optimized by DFT (GGA-PBE)
No peak broadening, texture or thermal motion is included.

Main lines, by angle (2θ = 10–90°):
Position (°2θ)	I_rel
15.60	26
19.66	68
25.19	52
31.50	100
33.78	28
37.40	90
51.72	51
60.02	22

Structural model:
```
Sr2Li6Pb9
1.0
6.5593 0.0000 0.0000
-3.2796 5.6805 0.0000
0.0000 0.0000 13.5487
Sr Li Pb
2 6 9
Direct
0.0000 0.0000 0.1660
0.0000 0.0000 0.8340
0.3333 0.6667 0.1645
0.3333 0.6667 0.5000
0.3333 0.6667 0.8355
0.6667 0.3333 0.1645
0.6667 0.3333 0.5000
0.6667 0.3333 0.8355
0.0000 0.5000 0.0000
0.0000 0.5000 0.3308
0.0000 0.5000 0.6692
0.5000 0.0000 0.0000
0.5000 0.0000 0.3308
0.5000 0.0000 0.6692
0.5000 0.5000 0.0000
0.5000 0.5000 0.3308
0.5000 0.5000 0.6692
```


# 7
Computed PXRD pattern
Compound: Sr3LiPb2
Radiation: λ = 1.5418 Å (Cu Kα)
Structure: a structure optimized by DFT (GGA-PBE)
No peak broadening, texture or thermal motion is included.

Main lines, by angle (2θ = 10–90°):
Position (°2θ)	I_rel
19.80	56
23.66	48
26.33	48
29.00	87
30.24	100
32.53	36
34.72	65
35.08	52

Structural model:
```
Sr3LiPb2
1.0
13.5190 0.0000 0.0000
0.0000 5.1671 0.0000
0.0000 0.0000 11.9917
Sr Li Pb
12 4 8
Direct
0.0461 0.2500 0.1278
0.1397 0.7500 0.5860
0.2168 0.2500 0.8134
0.2832 0.7500 0.3134
0.3603 0.2500 0.0860
0.4539 0.7500 0.6278
0.5461 0.2500 0.3722
0.6397 0.7500 0.9140
0.7168 0.2500 0.6866
0.7832 0.7500 0.1866
0.8603 0.2500 0.4140
0.9539 0.7500 0.8722
0.1058 0.2500 0.4165
0.3942 0.7500 0.9165
0.6058 0.2500 0.0835
0.8942 0.7500 0.5835
0.0188 0.7500 0.3321
0.1911 0.7500 0.0110
0.3089 0.2500 0.5110
0.4812 0.2500 0.8321
0.5188 0.7500 0.1679
0.6911 0.7500 0.4890
0.8089 0.2500 0.9890
0.9812 0.2500 0.6679
```


# 8
Computed PXRD pattern
Compound: Sr3Li2Pb9
Radiation: λ = 1.5418 Å (Cu Kα)
Structure: a structure optimized by DFT (GGA-PBE)
No peak broadening, texture or thermal motion is included.

Main lines, by angle (2θ = 10–90°):
Position (°2θ)	I_rel
16.97	16
28.93	36
29.85	100
34.33	70
48.75	26
49.94	23
57.68	14
58.74	26

Structural model:
```
Sr3Li2Pb9
1.0
7.3055 0.0000 0.0000
-3.6527 6.3267 0.0000
0.0000 0.0000 9.2594
Sr Li Pb
3 2 9
Direct
0.0000 0.0000 0.0000
0.3333 0.6667 0.3333
0.6667 0.3333 0.6667
0.3333 0.6667 0.8009
0.6667 0.3333 0.1991
0.0000 0.5000 0.0000
0.1497 0.2995 0.6490
0.1497 0.8503 0.6490
0.2995 0.1497 0.3510
0.5000 0.0000 0.0000
0.5000 0.5000 0.0000
0.7005 0.8503 0.6490
0.8503 0.1497 0.3510
0.8503 0.7005 0.3510
```


# 9
Computed PXRD pattern
Compound: Sr3Li5Pb2
Radiation: λ = 1.5418 Å (Cu Kα)
Structure: a structure optimized by DFT (GGA-PBE)
No peak broadening, texture or thermal motion is included.

Main lines, by angle (2θ = 10–90°):
Position (°2θ)	I_rel
14.81	45
19.02	44
20.44	100
24.25	43
28.52	77
29.56	56
35.44	68
41.74	47

Structural model:
```
Sr3Li5Pb2
1.0
-5.9832 7.3398 3.5006
5.9832 -7.3398 3.5006
5.9832 7.3398 -3.5006
Sr Li Pb
6 10 4
Direct
0.1334 0.7320 0.8655
0.2500 0.2500 0.0000
0.3666 0.2320 0.5986
0.6334 0.7680 0.4014
0.7500 0.7500 0.0000
0.8666 0.2680 0.1345
0.0201 0.2500 0.7701
0.1315 0.3963 0.5279
0.2500 0.7500 0.5000
0.3685 0.8963 0.2648
0.4799 0.2500 0.2299
0.5201 0.7500 0.7701
0.6315 0.1037 0.7352
0.7500 0.2500 0.5000
0.8685 0.6037 0.4721
0.9799 0.7500 0.2299
0.1387 0.1673 0.3061
0.3613 0.6673 0.0286
0.6387 0.3327 0.9714
0.8613 0.8327 0.6939
```


# 10
Computed PXRD pattern
Compound: Sr3LiPb12
Radiation: λ = 1.5418 Å (Cu Kα)
Structure: a structure optimized by DFT (GGA-PBE)
No peak broadening, texture or thermal motion is included.

Main lines, by angle (2θ = 10–90°):
Position (°2θ)	I_rel
31.04	100
35.88	35
36.24	15
51.64	13
51.91	22
61.49	30
61.97	12
64.71	12

Structural model:
```
Sr3LiPb12
1.0
5.0062 0.0000 0.0000
0.0000 5.0062 0.0000
0.0000 0.0000 19.8303
Sr Li Pb
3 1 12
Direct
0.0000 0.0000 0.0000
0.0000 0.0000 0.2536
0.0000 0.0000 0.7464
0.0000 0.0000 0.5000
0.0000 0.5000 0.1274
0.0000 0.5000 0.3854
0.0000 0.5000 0.6146
0.0000 0.5000 0.8726
0.5000 0.0000 0.1274
0.5000 0.0000 0.3854
0.5000 0.0000 0.6146
0.5000 0.0000 0.8726
0.5000 0.5000 0.0000
0.5000 0.5000 0.2567
0.5000 0.5000 0.5000
0.5000 0.5000 0.7433
```


# 11
Computed PXRD pattern
Compound: SrLi2Tb2Pb2
Radiation: λ = 1.5418 Å (Cu Kα)
Structure: a structure optimized by DFT (GGA-PBE)
No peak broadening, texture or thermal motion is included.

Main lines, by angle (2θ = 10–90°):
Position (°2θ)	I_rel
21.03	40
21.72	52
30.30	39
32.70	100
36.43	83
37.91	23
49.76	31
63.22	31

Structural model:
```
SrLi2Tb2Pb2
1.0
2.4662 1.4238 9.5139
-2.4662 1.4238 9.5139
0.0000 -2.8477 9.5139
Sr Li Tb Pb
1 2 2 2
Direct
0.0000 0.0000 0.0000
0.4194 0.4194 0.4194
0.5806 0.5806 0.5806
0.1318 0.1318 0.1318
0.8682 0.8682 0.8682
0.2538 0.2538 0.2538
0.7462 0.7462 0.7462
```


# 12
Computed PXRD pattern
Compound: LiTaPb
Radiation: λ = 1.5418 Å (Cu Kα)
Structure: a structure optimized by DFT (GGA-PBE)
No peak broadening, texture or thermal motion is included.

Main lines, by angle (2θ = 10–90°):
Position (°2θ)	I_rel
11.68	80
23.49	19
33.29	22
35.40	100
35.55	27
41.15	65
59.70	23
71.23	35

Structural model:
```
LiTaPb
1.0
3.1074 0.0000 0.0000
-1.5537 2.6911 0.0000
0.0000 0.0000 7.5753
Li Ta Pb
1 1 1
Direct
0.0000 0.0000 0.0000
0.6667 0.3333 0.6737
0.3333 0.6667 0.3374
```